# ThPd6Au4
Theoretical XRD peak list, Cu Kα (λ = 1.5418 Å). Input: a crystal structure in Alexandria, relaxed with GGA-PBE.
No peak broadening, texture or thermal motion is included.

The 6 most intense peaks (2θ from 5° to 70°), by angle:
d_spacing  Rel. int.
3.060  35
2.535  59
2.413  47
2.403  47
2.311  100
2.113  69

Crystal structure
a = 4.2251 Å, b = 20.2667 Å, c = 5.0458 Å
α = 90.00°, β = 114.48°, γ = 90.00°
Atoms (fractional coordinates):
Th 0.0020 0.2500 0.0096
Th 0.9980 0.7500 0.9904
Pd 0.0985 0.0925 0.1980
Pd 0.0985 0.4075 0.1980
Pd 0.2958 0.2500 0.5948
Pd 0.3049 0.6753 0.6083
Pd 0.3049 0.8247 0.6083
Pd 0.5000 0.0000 0.0000
Pd 0.5000 0.5000 0.0000
Pd 0.6951 0.1753 0.3917
Pd 0.6951 0.3247 0.3917
Pd 0.7042 0.7500 0.4052
Pd 0.9015 0.5925 0.8020
Pd 0.9015 0.9075 0.8020
Au 0.1999 0.5429 0.3996
Au 0.1999 0.9571 0.3996
Au 0.4049 0.1280 0.8087
Au 0.4049 0.3720 0.8087
Au 0.5951 0.6280 0.1913
Au 0.5951 0.8720 0.1913
Au 0.8001 0.0429 0.6004
Au 0.8001 0.4571 0.6004